[1]
The following is a simulated powder diffraction line list of Pr4As3O. It was derived from a structure optimized by DFT (PBE), using Cu Kα.

Top 10 peaks for 2θ = 15–90°, by angle:
d_spacing	2theta	intensity	hkl
3.462	25.73	44	2 1 1
3.019	29.59	100	0 0 2
2.958	30.22	53	4 0 0
2.135	42.34	33	0 2 2
2.113	42.80	73	4 0 2
1.731	52.89	35	4 2 2
1.350	69.64	11	0 2 4
1.344	69.97	12	4 0 4
1.328	70.97	16	8 0 2
1.228	77.76	16	4 2 4

Crystal structure
Unit cell a=11.8313 b=6.0373 c=6.0383 alpha=90.00 beta=90.00 gamma=90.00
Space group Pmn2_1 (No. 31)
Asymmetric unit:
Pr  0.0000  0.1860  0.0000 x2
Pr  0.0000  0.7479  0.4352 x2
Pr  0.2479  0.7510  0.9990 x4
As  0.0000  0.2472  0.4985 x2
As  0.2499  0.2516  0.9986 x4
O  0.0000  0.8121  0.0615 x2

[2]
The following is a simulated powder diffraction line list of PrAsO4. It was derived from a structure optimized by DFT (PBE), using Cu Kα.

Top 10 peaks for 2θ = 15–90°, by angle:
d_spacing	2theta	intensity	hkl
4.760	18.64	8	1 0 1
3.123	28.59	100	1 1 2
2.960	30.19	17	0 0 4
2.599	34.51	21	2 0 0
1.953	46.50	29	2 0 4
1.838	49.60	12	2 2 0
1.739	52.65	18	1 1 6
1.584	58.25	27	1 3 2
1.561	59.18	12	2 2 4
1.263	75.24	13	3 1 6

Crystal structure
Unit cell a=5.1982 b=5.1982 c=11.8393 alpha=90.00 beta=90.00 gamma=90.00
Space group I4_1/a (No. 88, origin choice 2)
Asymmetric unit:
Pr  0.0000  0.2500  0.1250 x4
As  0.0000  0.2500  0.6250 x4
O  0.1357  0.4973  0.7023 x16

[3]
The following is a simulated powder diffraction line list of Sr2Pr4As3O2. It was derived from a structure optimized by DFT (PBE), using Cu Kα.

Top 10 peaks for 2θ = 15–90°, by angle:
d_spacing	2theta	intensity	hkl
3.273	27.25	54	1 1 2
3.094	28.86	18	0 0 8
2.975	30.03	14	1 1 4
2.846	31.43	15	1 0 7
2.621	34.22	100	1 1 6
2.399	37.48	59	2 0 0
1.896	47.98	17	2 0 8
1.697	54.05	20	2 2 0
1.564	59.06	12	2 0 12
1.424	65.55	38	3 1 6

Crystal structure
Unit cell a=4.7990 b=4.7990 c=24.7486 alpha=90.00 beta=90.00 gamma=90.00
Space group I4/mmm (No. 139)
Asymmetric unit:
Sr  0.0000  0.0000  0.1993 x4
Pr  0.0000  0.5000  0.0787 x8
As  0.0000  0.0000  0.3296 x4
As  0.0000  0.0000  0.5000 x2
O  0.0000  0.0000  0.0994 x4

[4]
The following is a simulated powder diffraction line list of SrPrAs2O8. It was derived from a structure optimized by DFT (PBE), using Cu Kα.

Top 10 peaks for 2θ = 15–90°, by angle:
d_spacing	2theta	intensity	hkl
3.163	28.22	100	1 1 2
3.012	29.66	17	0 0 4
2.628	34.12	20	2 0 0
1.980	45.83	29	2 0 4
1.858	49.03	11	2 2 0
1.766	51.75	18	1 1 6
1.602	57.53	26	1 3 2
1.581	58.36	13	2 2 4
1.307	72.32	8	2 0 8
1.280	74.05	13	3 1 6

Crystal structure
Unit cell a=5.2553 b=5.2553 c=12.0468 alpha=90.00 beta=90.00 gamma=90.00
Space group I-4 (No. 82)
Asymmetric unit:
Sr  0.0000  0.0000  0.0000 x2
Pr  0.0000  0.5000  0.2500 x2
As  0.0000  0.0000  0.5000 x2
As  0.0000  0.5000  0.7500 x2
O  0.1212  0.2462  0.4211 x8
O  0.1354  0.7465  0.8239 x8

[5]
The following is a simulated powder diffraction line list of PrUAsO2. It was derived from a structure optimized by DFT (PBE), using Cu Kα.

Top 10 peaks for 2θ = 15–90°, by angle:
d_spacing	2theta	intensity	hkl
3.680	24.19	30	1 0 1
3.117	28.64	9	0 0 4
2.825	31.68	100	1 0 3
2.723	32.89	44	1 1 0
2.051	44.16	18	1 1 4
1.926	47.20	22	2 0 0
1.652	55.64	15	1 1 6
1.617	56.97	10	1 0 7
1.591	57.96	36	2 1 3
1.238	77.02	8	2 1 7

Crystal structure
Unit cell a=3.8514 b=3.8514 c=12.4670 alpha=90.00 beta=90.00 gamma=90.00
Space group I4mm (No. 107)
Asymmetric unit:
Pr  0.0000  0.0000  0.0000 x2
U  0.0000  0.0000  0.7107 x2
As  0.0000  0.0000  0.3560 x2
O  0.0000  0.5000  0.1195 x4

[6]
The following is a simulated powder diffraction line list of Pu3As3O. It was derived from a structure optimized by DFT (PBE), using Cu Kα.

Top 10 peaks for 2θ = 15–90°, by angle:
d_spacing	2theta	intensity	hkl
3.342	26.67	97	1 1 2
3.253	27.42	100	0 0 4
3.237	27.55	61	2 1 1
2.840	31.50	49	3 0 3
2.724	32.88	56	3 1 1
2.647	33.86	92	2 1 3
2.331	38.62	38	2 1 4
2.295	39.25	32	4 1 1
2.076	43.61	52	0 2 0
1.750	52.28	36	0 2 4

Crystal structure
Unit cell a=11.2736 b=4.1510 c=13.0104 alpha=90.00 beta=90.00 gamma=90.00
Space group Pnma (No. 62)
Asymmetric unit:
Pu  0.0115  0.2500  0.1487 x4
Pu  0.1281  0.2500  0.6425 x4
Pu  0.2490  0.7500  0.4029 x4
As  0.0568  0.2500  0.3908 x4
As  0.1454  0.7500  0.0273 x4
As  0.2343  0.2500  0.2497 x4
O  0.0732  0.2500  0.8117 x4